Simulated powder diffraction line list of Tb2AlCo2 for Cu Kα, 1.54184 Å, from a structure optimized by DFT (PBE).
No peak broadening, texture or thermal motion is included.

The 10 most intense peaks (10° ≤ 2θ ≤ 90°), by angle:
hkl, Position (°2θ), I_rel
1 1 0, 27.48, 68
1 1 2, 34.87, 100
0 1 3, 35.87, 30
1 0 3, 39.05, 44
0 2 2, 39.17, 47
1 2 1, 41.24, 36
2 0 0, 45.04, 27
1 3 0, 55.18, 17
2 2 2, 61.19, 25
1 2 5, 69.41, 28

Structure:
Lattice parameters (Å, degrees): 4.0256 5.4847 8.4422 90.00 90.00 90.00
Space group Immm (No. 71)
Inequivalent atoms, fractional coordinates:
Tb (0.0000, 0.0000, 0.2034) (multiplicity 4)
Al (0.0000, 0.5000, 0.0000) (multiplicity 2)
Co (0.0000, 0.2772, 0.5000) (multiplicity 4)



Simulated powder diffraction line list of ThAl2Co3 for Cu Kα, 1.54184 Å, from a structure optimized by DFT (PBE).
No peak broadening, texture or thermal motion is included.

The 10 most intense peaks (10° ≤ 2θ ≤ 90°), by angle:
hkl, Position (°2θ), I_rel
0 2 0, 21.15, 26
0 0 1, 21.54, 46
1 1 1, 29.46, 79
2 0 0, 33.95, 36
1 3 0, 36.32, 38
2 2 0, 40.35, 27
2 0 1, 40.57, 40
1 3 1, 42.61, 100
0 0 2, 43.89, 29
3 3 1, 66.75, 30

Structure:
Lattice parameters (Å, degrees): 5.2806 8.4001 4.1257 90.00 90.00 90.00
Space group Cmmm (No. 65)
Inequivalent atoms, fractional coordinates:
Th (0.0000, 0.0000, 0.0000) (multiplicity 2)
Al (0.2500, 0.2500, 0.5000) (multiplicity 4)
Co (0.0000, 0.3355, 0.0000) (multiplicity 4)
Co (0.0000, 0.5000, 0.5000) (multiplicity 2)



Simulated powder diffraction line list of TiAlCo2 for Cu Kα, 1.54184 Å, from a structure optimized by DFT (PBE).
No peak broadening, texture or thermal motion is included.

The 10 most intense peaks (10° ≤ 2θ ≤ 90°), by angle:
hkl, Position (°2θ), I_rel
0 0 1, 15.51, 4
1 0 0, 30.28, 9
0 0 2, 31.32, 4
1 1 0, 43.36, 53
1 0 2, 44.13, 100
1 1 2, 54.46, 3
2 0 0, 62.99, 16
0 0 4, 65.35, 7
2 1 2, 80.10, 30
1 1 4, 81.72, 14

Structure:
Lattice parameters (Å, degrees): 2.9512 2.9512 5.7115 90.00 90.00 90.00
Space group P4/mmm (No. 123)
Inequivalent atoms, fractional coordinates:
Ti (0.0000, 0.0000, 0.0000) (multiplicity 1)
Al (0.0000, 0.0000, 0.5000) (multiplicity 1)
Co (0.5000, 0.5000, 0.2493) (multiplicity 2)



Simulated powder diffraction line list of Ti6Al16Co7 for Cu Kα, 1.54184 Å, from a structure optimized by DFT (PBE).
No peak broadening, texture or thermal motion is included.

The 10 most intense peaks (10° ≤ 2θ ≤ 90°), by angle:
hkl, Position (°2θ), I_rel
2 2 2, 26.23, 17
4 0 0, 30.37, 16
3 3 1, 33.18, 13
4 2 2, 37.43, 21
3 3 3, 39.79, 45
4 4 0, 43.49, 100
6 2 2, 51.50, 26
8 4 4, 79.84, 13
9 3 3, 81.33, 12
6 6 6, 85.79, 12

Structure:
Lattice parameters (Å, degrees): 11.7708 11.7708 11.7708 90.00 90.00 90.00
Space group Fm-3m (No. 225)
Inequivalent atoms, fractional coordinates:
Ti (0.0000, 0.0000, 0.1906) (multiplicity 24)
Al (0.1188, 0.1188, 0.3812) (multiplicity 32)
Al (0.1604, 0.1604, 0.1604) (multiplicity 32)
Co (0.0000, 0.0000, 0.5000) (multiplicity 4)
Co (0.0000, 0.2500, 0.2500) (multiplicity 24)



Simulated powder diffraction line list of Ti2AlCo for Cu Kα, 1.54184 Å, from a structure optimized by DFT (PBE).
No peak broadening, texture or thermal motion is included.

The 10 most intense peaks (10° ≤ 2θ ≤ 90°), by angle:
hkl, Position (°2θ), I_rel
1 1 1, 25.14, 5
2 0 0, 29.11, 5
2 2 0, 41.63, 100
3 1 1, 49.26, 2
2 2 2, 51.60, 1
4 0 0, 60.34, 15
3 3 1, 66.42, 1
4 2 0, 68.37, 1
4 2 2, 75.98, 29
5 1 1, 81.52, 1

Structure:
Lattice parameters (Å, degrees): 6.1357 6.1357 6.1357 90.00 90.00 90.00
Space group F-43m (No. 216)
Inequivalent atoms, fractional coordinates:
Ti (0.0000, 0.0000, 0.0000) (multiplicity 4)
Ti (0.2500, 0.2500, 0.2500) (multiplicity 4)
Al (0.0000, 0.0000, 0.5000) (multiplicity 4)
Co (0.2500, 0.2500, 0.7500) (multiplicity 4)



Simulated powder diffraction line list of TmAlCo4 for Cu Kα, 1.54184 Å, from a structure optimized by DFT (PBE).
No peak broadening, texture or thermal motion is included.

The 10 most intense peaks (10° ≤ 2θ ≤ 90°), by angle:
hkl, Position (°2θ), I_rel
1 0 1, 30.84, 85
1 1 0, 35.79, 31
2 0 0, 41.56, 52
1 1 1, 42.88, 100
0 0 2, 46.67, 25
2 1 1, 61.25, 25
2 0 2, 64.26, 33
3 0 1, 69.20, 23
2 2 0, 75.82, 18
1 1 3, 84.01, 23

Structure:
Lattice parameters (Å, degrees): 5.0184 5.0184 3.8924 90.00 90.00 120.00
Space group P-6m2 (No. 187)
Inequivalent atoms, fractional coordinates:
Tm (0.0000, 0.0000, 0.0000) (multiplicity 1)
Al (0.3333, 0.6667, 0.0000) (multiplicity 1)
Co (0.5030, 0.0060, 0.5000) (multiplicity 3)
Co (0.6667, 0.3333, 0.0000) (multiplicity 1)



Simulated powder diffraction line list of U2AlCo2 for Cu Kα, 1.54184 Å, from a structure optimized by DFT (PBE).
No peak broadening, texture or thermal motion is included.

The 10 most intense peaks (10° ≤ 2θ ≤ 90°), by angle:
hkl, Position (°2θ), I_rel
1 1 0, 17.70, 15
2 0 0, 25.13, 25
0 0 1, 26.25, 17
2 1 0, 28.16, 36
2 0 1, 36.66, 22
2 1 1, 38.88, 100
3 1 0, 40.24, 24
4 1 0, 53.30, 13
3 3 0, 54.97, 13
4 1 1, 60.36, 25

Structure:
Lattice parameters (Å, degrees): 7.0867 7.0867 3.3947 90.00 90.00 90.00
Space group P4/mbm (No. 127)
Inequivalent atoms, fractional coordinates:
U (0.1717, 0.3283, 0.0000) (multiplicity 4)
Al (0.0000, 0.0000, 0.5000) (multiplicity 2)
Co (0.1372, 0.6372, 0.5000) (multiplicity 4)



Simulated powder diffraction line list of U2AlCo3 for Cu Kα, 1.54184 Å, from a structure optimized by DFT (PBE).
No peak broadening, texture or thermal motion is included.

The 10 most intense peaks (10° ≤ 2θ ≤ 90°), by angle:
hkl, Position (°2θ), I_rel
1 0 0, 19.90, 46
1 0 1, 23.09, 26
1 0 2, 30.83, 23
1 1 0, 34.83, 71
2 0 0, 40.44, 23
1 0 3, 40.83, 100
2 0 1, 42.21, 51
1 1 2, 42.34, 68
2 1 3, 66.53, 47
3 1 3, 87.72, 25

Structure:
Lattice parameters (Å, degrees): 5.1510 5.1510 7.6324 90.00 90.00 120.00
Space group P6_3/mmc (No. 194)
Inequivalent atoms, fractional coordinates:
U (0.3333, 0.6667, 0.0699) (multiplicity 4)
Al (0.0000, 0.0000, 0.0000) (multiplicity 2)
Co (0.1702, 0.3403, 0.7500) (multiplicity 6)



Simulated powder diffraction line list of U3Al12Co4 for Cu Kα, 1.54184 Å, from a structure optimized by DFT (PBE).
No peak broadening, texture or thermal motion is included.

The 10 most intense peaks (10° ≤ 2θ ≤ 90°), by angle:
hkl, Position (°2θ), I_rel
1 0 1, 15.26, 100
2 0 1, 25.84, 64
2 0 2, 30.79, 45
1 0 3, 31.20, 29
2 1 0, 31.90, 39
2 1 2, 37.41, 62
3 0 1, 37.61, 67
2 0 3, 37.76, 59
2 2 0, 42.17, 33
3 0 3, 46.94, 31

Structure:
Lattice parameters (Å, degrees): 8.5715 8.5715 9.3230 90.00 90.00 120.00
Space group P6_3/mmc (No. 194)
Inequivalent atoms, fractional coordinates:
U (0.2068, 0.4135, 0.2500) (multiplicity 6)
Al (0.0000, 0.0000, 0.2500) (multiplicity 2)
Al (0.1198, 0.5599, 0.7500) (multiplicity 6)
Al (0.1595, 0.3189, 0.5782) (multiplicity 12)
Al (0.3333, 0.6667, 0.0044) (multiplicity 4)
Co (0.0000, 0.0000, 0.0000) (multiplicity 2)
Co (0.0000, 0.5000, 0.0000) (multiplicity 6)



Simulated powder diffraction line list of AlVCo for Cu Kα, 1.54184 Å, from a structure optimized by DFT (PBE).
No peak broadening, texture or thermal motion is included.

The 10 most intense peaks (10° ≤ 2θ ≤ 90°), by angle:
hkl, Position (°2θ), I_rel
0 1 1, 21.39, 25
2 0 0, 22.16, 14
3 1 1, 40.10, 22
3 0 2, 40.70, 14
2 2 0, 43.41, 31
1 2 2, 45.09, 100
4 0 0, 45.21, 27
1 0 4, 47.25, 18
2 2 2, 49.40, 20
5 2 2, 74.76, 14

Structure:
Lattice parameters (Å, degrees): 8.0227 4.8792 7.9261 90.00 90.00 90.00
Space group Amm2 (No. 38)
Inequivalent atoms, fractional coordinates:
Al (0.1773, 0.0000, 0.0000) (multiplicity 4)
Al (0.2934, 0.0000, 0.6657) (multiplicity 4)
V (0.0000, 0.0000, 0.4881) (multiplicity 2)
V (0.5000, 0.0000, 0.1585) (multiplicity 2)
V (0.5000, 0.2411, 0.9114) (multiplicity 4)
Co (0.0000, 0.2433, 0.7306) (multiplicity 4)
Co (0.2455, 0.0000, 0.3352) (multiplicity 4)



Simulated powder diffraction line list of YAlCo for Cu Kα, 1.54184 Å, from a structure optimized by DFT (PBE).
No peak broadening, texture or thermal motion is included.

The 10 most intense peaks (10° ≤ 2θ ≤ 90°), by angle:
hkl, Position (°2θ), I_rel
1 0 0, 10.41, 37
0 2 0, 32.82, 30
0 1 3, 33.27, 37
3 1 1, 37.05, 100
3 0 2, 37.19, 34
2 2 0, 39.24, 35
2 1 3, 39.63, 98
1 2 2, 39.75, 76
1 0 4, 40.26, 36
5 2 2, 68.06, 27

Structure:
Lattice parameters (Å, degrees): 8.4957 5.4581 9.2885 90.00 90.00 90.00
Space group Amm2 (No. 38)
Inequivalent atoms, fractional coordinates:
Y (0.1750, 0.0000, 0.0000) (multiplicity 4)
Y (0.2980, 0.0000, 0.6633) (multiplicity 4)
Al (0.2286, 0.0000, 0.3256) (multiplicity 4)
Al (0.5000, 0.2480, 0.9161) (multiplicity 4)
Co (0.0000, 0.0000, 0.5018) (multiplicity 2)
Co (0.0000, 0.2378, 0.7405) (multiplicity 4)
Co (0.5000, 0.0000, 0.1631) (multiplicity 2)



Simulated powder diffraction line list of Y2Al2Co15 for Cu Kα, 1.54184 Å, from a structure optimized by DFT (PBE).
No peak broadening, texture or thermal motion is included.

The 10 most intense peaks (10° ≤ 2θ ≤ 90°), by angle:
hkl, Position (°2θ), I_rel
2 0 2, 30.44, 18
2 4 1, 34.63, 12
0 6 0, 37.40, 18
0 4 3, 41.17, 36
4 0 0, 43.48, 100
0 6 2, 43.54, 28
0 0 4, 43.71, 34
4 0 2, 48.96, 39
2 6 4, 63.34, 14
0 6 6, 80.17, 13

Structure:
Lattice parameters (Å, degrees): 8.3347 14.4202 8.2828 90.00 90.00 90.00
Space group Cmcm (No. 63)
Inequivalent atoms, fractional coordinates:
Y (0.0000, 0.0001, 0.2500) (multiplicity 4)
Y (0.0000, 0.3331, 0.2500) (multiplicity 4)
Al (0.0000, 0.3332, 0.5971) (multiplicity 8)
Co (0.0000, 0.1637, 0.0275) (multiplicity 8)
Co (0.0000, 0.5000, 0.0000) (multiplicity 4)
Co (0.1391, 0.1886, 0.7500) (multiplicity 8)
Co (0.1474, 0.4753, 0.7500) (multiplicity 8)
Co (0.2133, 0.1640, 0.2500) (multiplicity 8)
Co (0.2454, 0.0819, 0.5274) (multiplicity 16)
Co (0.2500, 0.2500, 0.0000) (multiplicity 8)